Entry 1:
Starting from a cell relaxed with PBE, the powder XRD pattern of Mg4Sn2Rh was calculated for Cu Kα (weighted mean of Kα1 and Kα2).
Peak positions follow from Bragg's law for the DFT cell and can differ from measured ones.

Structural model:
Cell: 8.0280 8.4724 4.4016 Å, 90.00 90.00 90.00°
Space group Cmmm (No. 65)
Asymmetric unit:
1 Mg 0.2158 0.0000 0.0000 (multiplicity 4)
2 Mg 0.2500 0.2500 0.5000 (multiplicity 4)
3 Sn 0.0000 0.2841 0.0000 (multiplicity 4)
4 Rh 0.0000 0.5000 0.5000 (multiplicity 2)

Peak list (12 most intense, 2θ from 10° to 80°, in order of falling intensity)
hkl 2 2 1, 2.430 Å, intensity 100.0
hkl 1 1 0, 5.827 Å, intensity 53.3
hkl 1 3 1, 2.279 Å, intensity 31.7
hkl 2 0 0, 4.014 Å, intensity 31.4
hkl 0 2 1, 3.052 Å, intensity 25.5
hkl 0 0 2, 2.201 Å, intensity 21.2
hkl 4 0 0, 2.007 Å, intensity 14.8
hkl 2 2 3, 1.310 Å, intensity 14.2
hkl 0 4 0, 2.118 Å, intensity 12.5
hkl 4 0 2, 1.483 Å, intensity 12.3
hkl 0 0 1, 4.402 Å, intensity 11.4
hkl 3 1 0, 2.552 Å, intensity 11.3


Entry 2:
Starting from a cell relaxed with PBE, the powder XRD pattern of MgSn5Rh3 was calculated for Cu Kα (weighted mean of Kα1 and Kα2).
Peak positions follow from Bragg's law for the DFT cell and can differ from measured ones.

Structural model:
Cell: 11.5209 9.2017 9.8064 Å, 90.00 123.32 90.00°
Space group C2/m (No. 12)
Asymmetric unit:
1 Mg 0.0932 0.0000 0.3123 (multiplicity 4)
2 Sn 0.0000 0.2833 0.0000 (multiplicity 4)
3 Sn 0.0741 0.5000 0.3654 (multiplicity 4)
4 Sn 0.1642 0.2201 0.6558 (multiplicity 8)
5 Sn 0.2303 0.0000 0.0071 (multiplicity 4)
6 Rh 0.0000 0.0000 0.0000 (multiplicity 2)
7 Rh 0.0000 0.0000 0.5000 (multiplicity 2)
8 Rh 0.1709 0.5000 0.1763 (multiplicity 4)
9 Rh 0.1749 0.5000 0.6831 (multiplicity 4)

Peak list (12 most intense, 2θ from 10° to 80°, in order of falling intensity)
hkl 2 0 -2, 4.609 Å, intensity 100.0
hkl 4 0 -4, 2.303 Å, intensity 92.1
hkl 2 2 1, 2.741 Å, intensity 76.0
hkl 1 3 2, 2.210 Å, intensity 41.5
hkl 4 0 -1, 2.754 Å, intensity 38.4
hkl 0 0 3, 2.731 Å, intensity 37.3
hkl 5 3 -2, 1.837 Å, intensity 30.8
hkl 2 2 -5, 1.759 Å, intensity 29.3
hkl 1 3 -4, 1.827 Å, intensity 26.7
hkl 4 4 -4, 1.629 Å, intensity 25.0
hkl 3 3 0, 2.217 Å, intensity 22.9
hkl 2 2 -2, 3.257 Å, intensity 22.2


Entry 3:
Starting from a cell relaxed with PBE, the powder XRD pattern of Mg2ZnSnRh was calculated for Cu Kα (weighted mean of Kα1 and Kα2).
Peak positions follow from Bragg's law for the DFT cell and can differ from measured ones.

Structural model:
Cell: 3.1766 4.6627 13.0411 Å, 90.00 90.00 90.00°
Space group Imm2 (No. 44)
Asymmetric unit:
1 Mg 0.0000 0.0000 0.0000 (multiplicity 2)
2 Mg 0.0000 0.0000 0.3428 (multiplicity 2)
3 Zn 0.0000 0.0000 0.5568 (multiplicity 2)
4 Sn 0.0000 0.0000 0.7664 (multiplicity 2)
5 Rh 0.0000 0.5000 0.6653 (multiplicity 2)

Peak list (12 most intense, 2θ from 10° to 80°, in order of falling intensity)
hkl 1 0 1, 3.086 Å, intensity 100.0
hkl 1 1 4, 2.045 Å, intensity 96.7
hkl 0 0 2, 6.521 Å, intensity 96.5
hkl 0 1 5, 2.276 Å, intensity 83.0
hkl 0 2 0, 2.331 Å, intensity 50.8
hkl 1 2 1, 1.860 Å, intensity 46.8
hkl 0 1 3, 3.180 Å, intensity 37.6
hkl 2 1 5, 1.303 Å, intensity 27.3
hkl 1 1 6, 1.674 Å, intensity 22.5
hkl 1 1 0, 2.625 Å, intensity 22.4
hkl 1 3 4, 1.283 Å, intensity 21.0
hkl 0 3 5, 1.335 Å, intensity 19.4


Entry 4:
Starting from a cell relaxed with PBE, the powder XRD pattern of Sr4MgRh was calculated for Cu Kα (weighted mean of Kα1 and Kα2).
Peak positions follow from Bragg's law for the DFT cell and can differ from measured ones.

Structural model:
Cell: 9.8219 14.4868 6.7944 Å, 90.00 109.25 90.00°
Space group C2/c (No. 15)
Asymmetric unit:
1 Sr 0.1048 0.1629 0.0516 (multiplicity 8)
2 Sr 0.2225 0.4228 0.3708 (multiplicity 8)
3 Mg 0.0000 0.3734 0.7500 (multiplicity 4)
4 Rh 0.0000 0.0008 0.2500 (multiplicity 4)

Peak list (12 most intense, 2θ from 10° to 80°, in order of falling intensity)
hkl 1 1 0, 7.810 Å, intensity 100.0
hkl 3 1 -1, 3.154 Å, intensity 58.6
hkl 2 2 1, 2.987 Å, intensity 57.8
hkl 0 2 0, 7.243 Å, intensity 37.3
hkl 1 3 -2, 2.778 Å, intensity 37.2
hkl 4 2 0, 2.207 Å, intensity 24.2
hkl 2 6 0, 2.142 Å, intensity 22.2
hkl 2 2 -2, 2.906 Å, intensity 20.9
hkl 1 1 2, 2.714 Å, intensity 20.7
hkl 1 3 2, 2.399 Å, intensity 19.1
hkl 2 4 -1, 2.830 Å, intensity 19.0
hkl 1 1 -2, 3.307 Å, intensity 19.0


- Number 3 is which compound?
  Mg2ZnSnRh